Starting from a cell relaxed with GGA-PBE, the powder X-ray diffraction pattern of SrP2H2O8 was calculated for CuKα.
Neutral-atom scattering factors, no anomalous dispersion.

Crystal structure
Lattice parameters (Å, degrees): 6.8708 7.0777 7.8943 104.02 95.61 108.86
Fractional coordinates of all 26 atoms:
1 Sr 0.2363 0.2131 0.3984
2 Sr 0.7637 0.7869 0.6016
3 P 0.2042 0.3060 0.9153
4 P 0.2639 0.7824 0.6009
5 P 0.7361 0.2176 0.3991
6 P 0.7958 0.6940 0.0847
7 H 0.1468 0.6410 0.8194
8 H 0.4587 0.1039 0.7576
9 H 0.5413 0.8961 0.2424
10 H 0.8532 0.3590 0.1805
11 O 0.0099 0.8752 0.1403
12 O 0.1108 0.7163 0.7321
13 O 0.1392 0.8642 0.4860
14 O 0.1811 0.5206 0.9467
15 O 0.2968 0.2821 0.0912
16 O 0.3351 0.2830 0.7689
17 O 0.3420 0.6114 0.5161
18 O 0.4765 0.9664 0.7144
19 O 0.5235 0.0336 0.2856
20 O 0.6580 0.3886 0.4839
21 O 0.6649 0.7170 0.2311
22 O 0.7032 0.7179 0.9088
23 O 0.8189 0.4794 0.0533
24 O 0.8608 0.1358 0.5140
25 O 0.8892 0.2837 0.2679
26 O 0.9901 0.1248 0.8597

Main lines, by angle (10 to 80 degrees two-theta):
(0 0 1), 11.77°, intensity 65.7
(1 -1 0), 15.69°, intensity 50.9
(0 1 1), 20.66°, intensity 49.2
(0 1 -2), 23.70°, intensity 100.0
(0 2 0), 27.84°, intensity 46.3
(2 0 0), 27.96°, intensity 48.2